For Mn4P3O12, a cell relaxed with GGA+U gives the calculated powder XRD pattern in this record (CuKα).

Structural model:
Cell: 8.694 8.694 9.695 Å, 112.28 112.28 62.47°
Sites, in units of the cell vectors:
Mn 0.028 0.972 0.500
Mn 0.091 0.417 0.281
Mn 0.268 0.490 0.009
Mn 0.417 0.091 0.781
Mn 0.490 0.268 0.509
Mn 0.614 0.684 0.054
Mn 0.684 0.614 0.554
Mn 0.972 0.028 0.000
P 0.129 0.346 0.625
P 0.346 0.129 0.125
P 0.418 0.693 0.685
P 0.693 0.418 0.185
P 0.749 0.969 0.624
P 0.969 0.749 0.124
O 0.062 0.770 0.027
O 0.103 0.562 0.160
O 0.143 0.166 0.097
O 0.166 0.143 0.597
O 0.184 0.366 0.498
O 0.225 0.759 0.592
O 0.270 0.379 0.781
O 0.366 0.184 0.998
O 0.379 0.270 0.281
O 0.438 0.683 0.844
O 0.465 0.940 0.140
O 0.508 0.537 0.092
O 0.520 0.811 0.694
O 0.537 0.508 0.592
O 0.562 0.103 0.660
O 0.683 0.438 0.344
O 0.737 0.786 0.518
O 0.759 0.225 0.092
O 0.770 0.062 0.527
O 0.786 0.737 0.018
O 0.811 0.520 0.194
O 0.899 0.949 0.769
O 0.940 0.465 0.640
O 0.949 0.899 0.269

Main lines, by angle (5 to 70 degrees two-theta):
2θ = 17.48°, I 45; 2θ = 18.80°, I 23; 2θ = 19.69°, I 27; 2θ = 20.46°, I 100; 2θ = 22.30°, I 62; 2θ = 23.52°, I 41; 2θ = 28.11°, I 31; 2θ = 28.53°, I 27